CaScTlCl6: simulated powder diffractogram (Cu Kα, 1.54184 Å), based on a crystal structure in Alexandria, relaxed with GGA-PBE.
Lines closer than 0.1° are merged.

Atomic structure:
```
CaScTlCl6
1.0
6.937 0.000 0.000
-3.468 6.008 0.000
0.000 0.000 13.782
Ca Sc Tl Cl
2 2 2 12
direct
0.333 0.667 0.250
0.667 0.333 0.750
0.333 0.667 0.750
0.667 0.333 0.250
0.000 0.000 0.000
0.000 0.000 0.500
0.026 0.386 0.644
0.026 0.640 0.856
0.360 0.386 0.856
0.360 0.974 0.644
0.386 0.026 0.144
0.386 0.360 0.356
0.614 0.640 0.644
0.614 0.974 0.856
0.640 0.026 0.356
0.640 0.614 0.144
0.974 0.360 0.144
0.974 0.614 0.356
```

Largest 10 diffraction maxima, in order of rising 2θ, 2θ from 5° to 70°:
index  2θ/deg  I/Imax
1 0 0  14.7  21
1 0 2  19.6  100
1 1 0  25.7  14
2 -1 2  28.8  29
2 0 0  29.7  14
1 0 4  29.9  18
2 0 2  32.5  23
1 1 4  36.8  47
2 1 2  41.9  28
3 0 0  45.3  18